(1)
# CaV2P2O10
Computed powder XRD pattern, CuKα. Input: the PBE+U geometry in the Materials Project.

Top 10 peaks for 15° ≤ 2θ ≤ 90°, low angle first:
Position (°2θ)	I/Imax
21.92	23
26.36	70
28.76	53
30.78	45
30.88	45
31.34	100
36.58	32
44.69	19
52.59	30
55.24	25

Crystal structure
Unit cell a=8.826 b=6.929 c=9.961 alpha=59.85 beta=42.76 gamma=77.39
Element x y z (fractional)
Ca: 0.000 0.000 0.000
Ca: 0.250 0.250 0.250
V: 0.156 0.624 0.604
V: 0.624 0.156 0.616
V: 0.634 0.646 0.626
V: 0.646 0.634 0.094
P: 0.047 0.462 0.037
P: 0.213 0.797 0.203
P: 0.462 0.047 0.453
P: 0.797 0.213 0.788
O: 0.009 0.330 0.694
O: 0.081 0.393 0.892
O: 0.185 0.863 0.347
O: 0.250 0.921 0.551
O: 0.284 0.556 0.920
O: 0.330 0.009 0.966
O: 0.358 0.615 0.169
O: 0.393 0.081 0.635
O: 0.423 0.591 0.408
O: 0.556 0.284 0.241
O: 0.591 0.423 0.579
O: 0.615 0.358 0.857
O: 0.644 0.903 0.387
O: 0.671 0.842 0.659
O: 0.699 0.972 0.000
O: 0.842 0.671 0.827
O: 0.863 0.185 0.606
O: 0.903 0.644 0.065
O: 0.921 0.250 0.278
O: 0.972 0.699 0.329

=====

(2)
# CaV4P4O20
Computed powder XRD pattern, CuKα. Input: the PBE+U geometry in the Materials Project.

Top 10 peaks for 15° ≤ 2θ ≤ 90°, low angle first:
Position (°2θ)	I/Imax
18.35	46
18.82	30
23.73	26
26.89	64
27.14	18
27.39	85
27.58	100
43.37	20
56.97	25
57.17	19

Crystal structure
Unit cell a=5.402 b=7.352 c=10.351 alpha=98.87 beta=104.94 gamma=111.55
Element x y z (fractional)
Ca: 0.000 0.000 0.000
V: 0.282 0.750 0.259
V: 0.500 0.000 0.000
V: 0.500 0.500 0.500
V: 0.718 0.250 0.741
P: 0.047 0.938 0.684
P: 0.405 0.544 0.805
P: 0.595 0.456 0.195
P: 0.953 0.062 0.316
O: 0.112 0.434 0.822
O: 0.143 0.904 0.830
O: 0.144 0.273 0.423
O: 0.144 0.947 0.317
O: 0.295 0.860 0.095
O: 0.311 0.046 0.648
O: 0.333 0.658 0.399
O: 0.380 0.576 0.659
O: 0.411 0.575 0.161
O: 0.443 0.250 0.081
O: 0.557 0.750 0.919
O: 0.589 0.425 0.839
O: 0.620 0.424 0.341
O: 0.667 0.342 0.601
O: 0.689 0.954 0.352
O: 0.705 0.140 0.905
O: 0.856 0.053 0.683
O: 0.856 0.727 0.577
O: 0.857 0.096 0.170
O: 0.888 0.566 0.178

=====

(3)
# CaVP4O12
Computed powder XRD pattern, CuKα. Input: the PBE+U geometry in the Materials Project.

Top 10 peaks for 15° ≤ 2θ ≤ 90°, low angle first:
Position (°2θ)	I/Imax
18.43	36
19.90	37
23.85	21
25.03	24
26.55	30
28.23	100
29.66	18
32.87	22
35.64	17
40.82	18

Crystal structure
Unit cell a=7.604 b=7.604 c=10.384 alpha=113.03 beta=113.03 gamma=70.52
Element x y z (fractional)
Ca: 0.044 0.956 0.750
Ca: 0.956 0.044 0.250
V: 0.000 0.500 0.500
V: 0.500 0.000 0.000
P: 0.271 0.719 0.024
P: 0.281 0.729 0.476
P: 0.303 0.320 0.807
P: 0.320 0.303 0.307
P: 0.680 0.697 0.693
P: 0.697 0.680 0.193
P: 0.719 0.271 0.524
P: 0.729 0.281 0.976
O: 0.109 0.831 0.089
O: 0.138 0.293 0.330
O: 0.169 0.891 0.411
O: 0.196 0.351 0.661
O: 0.199 0.693 0.573
O: 0.231 0.503 0.935
O: 0.293 0.138 0.830
O: 0.307 0.801 0.927
O: 0.323 0.530 0.347
O: 0.351 0.196 0.161
O: 0.470 0.677 0.153
O: 0.497 0.769 0.565
O: 0.503 0.231 0.435
O: 0.530 0.323 0.847
O: 0.649 0.804 0.839
O: 0.677 0.470 0.653
O: 0.693 0.199 0.073
O: 0.707 0.862 0.170
O: 0.769 0.497 0.065
O: 0.801 0.307 0.427
O: 0.804 0.649 0.339
O: 0.831 0.109 0.589
O: 0.862 0.707 0.670
O: 0.891 0.169 0.911

=====

(4)
# CaP2W2O10
Computed powder XRD pattern, CuKα. Input: the PBE+U geometry in the Materials Project.

Top 10 peaks for 15° ≤ 2θ ≤ 90°, low angle first:
Position (°2θ)	I/Imax
21.45	37
22.00	28
25.17	44
29.70	100
30.91	39
36.59	25
43.70	27
51.68	20
53.23	14
61.68	23

Crystal structure
Unit cell a=10.177 b=8.932 c=7.262 alpha=77.11 beta=58.82 gamma=44.07
Element x y z (fractional)
Ca: 0.125 0.125 0.125
Ca: 0.875 0.875 0.875
P: 0.080 0.080 0.670
P: 0.330 0.330 0.920
P: 0.670 0.670 0.080
P: 0.920 0.920 0.330
W: 0.000 0.500 0.500
W: 0.500 0.000 0.500
W: 0.500 0.500 0.000
W: 0.500 0.500 0.500
O: 0.063 0.210 0.485
O: 0.130 0.413 0.153
O: 0.153 0.804 0.130
O: 0.196 0.847 0.587
O: 0.210 0.063 0.742
O: 0.258 0.515 0.790
O: 0.290 0.290 0.460
O: 0.413 0.130 0.804
O: 0.460 0.460 0.290
O: 0.485 0.742 0.063
O: 0.515 0.258 0.937
O: 0.540 0.540 0.710
O: 0.587 0.870 0.196
O: 0.710 0.710 0.540
O: 0.742 0.485 0.210
O: 0.790 0.937 0.258
O: 0.804 0.153 0.413
O: 0.847 0.196 0.870
O: 0.870 0.587 0.847
O: 0.937 0.790 0.515

=====

(5)
# CaP3W3O13
Computed powder XRD pattern, CuKα. Input: the PBE+U geometry in the Materials Project.

Top 10 peaks for 15° ≤ 2θ ≤ 90°, low angle first:
Position (°2θ)	I/Imax
15.61	45
18.54	40
18.65	100
25.72	48
26.53	40
27.85	27
29.42	48
30.71	31
35.34	29
36.90	38

Crystal structure
Unit cell a=7.863 b=6.722 c=10.755 alpha=90.00 beta=99.44 gamma=90.00
Element x y z (fractional)
Ca: 0.147 0.250 0.194
Ca: 0.853 0.750 0.806
P: 0.183 0.750 0.112
P: 0.237 0.750 0.767
P: 0.286 0.250 0.505
P: 0.714 0.750 0.495
P: 0.763 0.250 0.233
P: 0.817 0.250 0.888
W: 0.139 0.250 0.794
W: 0.270 0.750 0.442
W: 0.500 0.000 0.000
W: 0.500 0.500 0.000
W: 0.730 0.250 0.558
W: 0.861 0.750 0.206
O: 0.003 0.250 0.966
O: 0.119 0.571 0.787
O: 0.119 0.929 0.787
O: 0.146 0.750 0.252
O: 0.154 0.250 0.597
O: 0.251 0.069 0.413
O: 0.251 0.431 0.413
O: 0.280 0.554 0.096
O: 0.280 0.946 0.096
O: 0.303 0.750 0.642
O: 0.379 0.250 0.904
O: 0.402 0.750 0.874
O: 0.470 0.250 0.582
O: 0.530 0.750 0.418
O: 0.598 0.250 0.126
O: 0.621 0.750 0.096
O: 0.697 0.250 0.358
O: 0.720 0.054 0.904
O: 0.720 0.446 0.904
O: 0.749 0.569 0.587
O: 0.749 0.931 0.587
O: 0.846 0.750 0.403
O: 0.854 0.250 0.748
O: 0.881 0.071 0.213
O: 0.881 0.429 0.213
O: 0.997 0.750 0.034

=====

(6)
# CaP2W2O8
Computed powder XRD pattern, CuKα. Input: the PBE+U geometry in the Materials Project.

Top 10 peaks for 15° ≤ 2θ ≤ 90°, low angle first:
Position (°2θ)	I/Imax
18.30	53
22.50	68
26.14	53
30.02	100
31.72	36
32.11	46
33.93	76
35.09	38
41.95	34
48.30	39

Crystal structure
Unit cell a=9.728 b=9.728 c=16.979 alpha=116.37 beta=116.37 gamma=30.49
Element x y z (fractional)
Ca: 0.033 0.661 0.870
Ca: 0.339 0.967 0.630
Ca: 0.661 0.033 0.370
Ca: 0.967 0.339 0.130
P: 0.016 0.562 0.645
P: 0.232 0.729 0.393
P: 0.271 0.768 0.107
P: 0.438 0.984 0.855
P: 0.562 0.016 0.145
P: 0.729 0.232 0.893
P: 0.768 0.271 0.607
P: 0.984 0.438 0.355
W: 0.000 0.500 0.000
W: 0.201 0.577 0.527
W: 0.237 0.763 0.750
W: 0.423 0.799 0.973
W: 0.500 0.000 0.500
W: 0.577 0.201 0.027
W: 0.763 0.237 0.250
W: 0.799 0.423 0.473
O: 0.013 0.063 0.674
O: 0.063 0.013 0.174
O: 0.113 0.465 0.729
O: 0.128 0.324 0.564
O: 0.135 0.613 0.649
O: 0.150 0.748 0.016
O: 0.176 0.299 0.878
O: 0.198 0.605 0.402
O: 0.252 0.850 0.484
O: 0.299 0.176 0.378
O: 0.324 0.128 0.064
O: 0.387 0.865 0.851
O: 0.395 0.802 0.098
O: 0.465 0.113 0.229
O: 0.489 0.510 0.856
O: 0.490 0.511 0.644
O: 0.510 0.489 0.356
O: 0.511 0.490 0.144
O: 0.535 0.887 0.771
O: 0.605 0.198 0.902
O: 0.613 0.135 0.149
O: 0.676 0.872 0.936
O: 0.701 0.824 0.622
O: 0.748 0.150 0.516
O: 0.802 0.395 0.598
O: 0.824 0.701 0.122
O: 0.850 0.252 0.984
O: 0.865 0.387 0.351
O: 0.872 0.676 0.436
O: 0.887 0.535 0.271
O: 0.937 0.987 0.826
O: 0.987 0.937 0.326

=====

(7)
# Ca2V2PbO8
Computed powder XRD pattern, CuKα. Input: the PBE+U geometry in the Materials Project.

Top 10 peaks for 15° ≤ 2θ ≤ 90°, low angle first:
Position (°2θ)	I/Imax
18.46	52
20.10	38
25.70	27
29.24	90
31.22	100
37.42	26
42.16	21
43.30	42
50.56	28
54.34	32

Crystal structure
Unit cell a=7.258 b=7.258 c=7.258 alpha=46.49 beta=46.49 gamma=46.49
Element x y z (fractional)
Ca: 0.000 0.000 0.000
Ca: 0.195 0.195 0.195
V: 0.402 0.402 0.402
V: 0.596 0.596 0.596
Pb: 0.805 0.805 0.805
O: 0.232 0.739 0.739
O: 0.265 0.265 0.767
O: 0.265 0.767 0.265
O: 0.314 0.314 0.314
O: 0.684 0.684 0.684
O: 0.739 0.232 0.739
O: 0.739 0.739 0.232
O: 0.767 0.265 0.265

=====

(8)
# CaPrV2O6
Computed powder XRD pattern, CuKα. Input: the PBE+U geometry in the Materials Project.

Top 10 peaks for 15° ≤ 2θ ≤ 90°, low angle first:
Position (°2θ)	I/Imax
19.61	26
19.86	28
31.75	25
32.38	25
32.71	100
45.98	32
47.87	16
57.17	14
57.96	23
68.55	15

Crystal structure
Unit cell a=7.601 b=5.636 c=5.530 alpha=90.00 beta=90.00 gamma=90.00
Element x y z (fractional)
Ca: 0.000 0.206 0.000
Ca: 0.500 0.794 0.500
Pr: 0.000 0.707 0.526
Pr: 0.500 0.293 0.026
V: 0.249 0.248 0.513
V: 0.251 0.752 0.013
V: 0.749 0.752 0.013
V: 0.751 0.248 0.513
O: 0.000 0.265 0.433
O: 0.000 0.768 0.090
O: 0.205 0.458 0.799
O: 0.208 0.959 0.727
O: 0.292 0.041 0.227
O: 0.295 0.542 0.299
O: 0.500 0.232 0.590
O: 0.500 0.735 0.933
O: 0.705 0.542 0.299
O: 0.708 0.041 0.227
O: 0.792 0.959 0.727
O: 0.795 0.458 0.799

=====

(9)
# CaPrW2O6
Computed powder XRD pattern, CuKα. Input: the PBE+U geometry in the Materials Project.

Top 10 peaks for 15° ≤ 2θ ≤ 90°, low angle first:
Position (°2θ)	I/Imax
21.80	41
30.29	47
31.10	100
31.34	93
31.75	45
44.45	43
45.02	23
54.16	17
56.14	44
56.30	21

Crystal structure
Unit cell a=5.902 b=5.636 c=8.056 alpha=90.00 beta=90.63 gamma=90.00
Element x y z (fractional)
Ca: 0.195 0.000 0.241
Ca: 0.805 0.500 0.759
Pr: 0.308 0.962 0.760
Pr: 0.692 0.462 0.240
W: 0.248 0.481 0.000
W: 0.248 0.483 0.500
W: 0.752 0.981 0.000
W: 0.752 0.983 0.500
O: 0.043 0.787 0.559
O: 0.055 0.791 0.942
O: 0.213 0.374 0.741
O: 0.285 0.592 0.259
O: 0.446 0.171 0.058
O: 0.460 0.181 0.440
O: 0.540 0.681 0.560
O: 0.554 0.671 0.942
O: 0.715 0.092 0.741
O: 0.787 0.874 0.259
O: 0.945 0.291 0.058
O: 0.957 0.287 0.441